The following is a simulated powder diffractogram of MnSi2O6. It was derived from DFT lattice parameters and positions (GGA+U), using copper Kα.
Intensities are scaled so that the largest is 100.

Largest 10 diffraction maxima, by angle, 10° ≤ 2θ ≤ 80°:
2θ = 14.34°, rel. 65; 2θ = 19.98°, rel. 72; 2θ = 20.76°, rel. 54; 2θ = 25.50°, rel. 38; 2θ = 30.13°, rel. 100; 2θ = 31.87°, rel. 72; 2θ = 35.94°, rel. 53; 2θ = 37.78°, rel. 23; 2θ = 42.19°, rel. 26; 2θ = 47.92°, rel. 22

Structure:
```
data_MnSi2O6
_cell_length_a 6.3988
_cell_length_b 6.3988
_cell_length_c 5.3302
_cell_angle_alpha 105.04
_cell_angle_beta 105.04
_cell_angle_gamma 83.94
_space_group_name_H-M_alt 'P 1'
_space_group_IT_number 1
_space_group_name_Hall 'P 1'
loop_
_atom_site_label
_atom_site_fract_x
_atom_site_fract_y
_atom_site_fract_z
_atom_site_occupancy
Mn1 0.0933 0.9067 0.7500 1
Mn2 0.9067 0.0933 0.2500 1
Si1 0.2122 0.3911 0.7497 1
Si2 0.3911 0.2122 0.2497 1
Si3 0.6089 0.7878 0.7503 1
Si4 0.7878 0.6089 0.2503 1
O1 0.0340 0.1914 0.6367 1
O2 0.0894 0.6282 0.7864 1
O3 0.1914 0.0340 0.1367 1
O4 0.3546 0.3631 0.0392 1
O5 0.3631 0.3546 0.5392 1
O6 0.3718 0.9106 0.7136 1
O7 0.6282 0.0894 0.2864 1
O8 0.6369 0.6454 0.4608 1
O9 0.6454 0.6369 0.9608 1
O10 0.8086 0.9660 0.8633 1
O11 0.9106 0.3718 0.2136 1
O12 0.9660 0.8086 0.3633 1
```